No. 1
For RbCu2HgF8, the PBE geometry in Alexandria gives the calculated X-ray powder pattern in this record (CuKα).
Intensities are scaled so that the largest is 100.

Largest 10 diffraction maxima, low angle first, 10 to 90 degrees two-theta:
2theta, d/Å, I_rel
17.51, 5.066, 33.4
27.85, 3.204, 100.0
30.50, 2.931, 36.1
35.38, 2.537, 19.1
35.55, 2.525, 28.8
43.72, 2.071, 26.6
47.54, 1.913, 24.6
52.60, 1.740, 46.4
57.55, 1.602, 18.1
76.43, 1.246, 14.7

Cell and atoms:
Cell: 6.5334 6.5334 6.5334 Å, 126.70 126.70 78.75°
Fractional positions:
Rb: 0.0000 0.0000 0.0000
Cu: 0.5000 0.5000 0.0000
Cu: 0.7500 0.2500 0.5000
Hg: 0.2500 0.7500 0.5000
F: 0.0203 0.4128 0.9492
F: 0.2071 0.5243 0.7093
F: 0.4636 0.0711 0.0508
F: 0.4757 0.1850 0.6828
F: 0.5023 0.7929 0.3172
F: 0.5872 0.5364 0.6076
F: 0.8150 0.4977 0.2907
F: 0.9289 0.9797 0.3924

No. 2
For LiPaSO5, the PBE geometry in Alexandria gives the calculated X-ray powder pattern in this record (CuKα).
Intensities are scaled so that the largest is 100.

Largest 10 diffraction maxima, low angle first, 10 to 90 degrees two-theta:
2theta, d/Å, I_rel
16.20, 5.472, 100.0
20.13, 4.410, 46.0
25.54, 3.488, 35.4
26.52, 3.361, 25.1
26.65, 3.344, 24.5
29.03, 3.076, 22.2
32.73, 2.736, 18.3
33.06, 2.709, 27.4
33.52, 2.673, 20.8
35.58, 2.523, 21.7

Cell and atoms:
Cell: 5.8040 5.8040 7.2710 Å, 104.35 104.35 98.91°
Fractional positions:
Li: 0.0000 0.5000 0.0000
Li: 0.5000 0.0000 0.5000
Pa: 0.0171 0.9829 0.7500
Pa: 0.9829 0.0171 0.2500
S: 0.4279 0.5721 0.7500
S: 0.5721 0.4279 0.2500
O: 0.1816 0.1935 0.0654
O: 0.1935 0.1816 0.5654
O: 0.2014 0.7986 0.2500
O: 0.2758 0.6221 0.8854
O: 0.3779 0.7242 0.6146
O: 0.6221 0.2758 0.3854
O: 0.7242 0.3779 0.1146
O: 0.7986 0.2014 0.7500
O: 0.8065 0.8184 0.4346
O: 0.8184 0.8065 0.9346

No. 3
For La3Pr5Y, the PBE geometry in Alexandria gives the calculated X-ray powder pattern in this record (CuKα).
Intensities are scaled so that the largest is 100.

Largest 10 diffraction maxima, low angle first, 10 to 90 degrees two-theta:
2theta, d/Å, I_rel
20.34, 4.366, 47.7
27.21, 3.277, 40.1
27.64, 3.227, 38.2
28.74, 3.107, 62.9
29.92, 2.987, 100.0
30.43, 2.937, 47.5
30.63, 2.919, 35.5
30.94, 2.890, 74.4
33.88, 2.646, 31.3
51.90, 1.762, 37.1

Cell and atoms:
Cell: 7.5199 7.5199 13.3031 Å, 101.34 101.34 70.98°
Fractional positions:
La: 0.0000 0.0000 0.0000
La: 0.0000 0.0000 0.5000
La: 0.2744 0.2744 0.5472
La: 0.4305 0.4305 0.7910
La: 0.5695 0.5695 0.2090
La: 0.7256 0.7256 0.4528
Pr: 0.0354 0.6557 0.2229
Pr: 0.2661 0.2661 0.0430
Pr: 0.3152 0.6848 0.0000
Pr: 0.3443 0.9646 0.7771
Pr: 0.4284 0.4284 0.3824
Pr: 0.5716 0.5716 0.6176
Pr: 0.6557 0.0354 0.2229
Pr: 0.6848 0.3152 0.0000
Pr: 0.7339 0.7339 0.9570
Pr: 0.9646 0.3443 0.7771
Y: 0.1284 0.1284 0.2677
Y: 0.8716 0.8716 0.7323